For Ac8Ir3NCl3, a cell relaxed with GGA-PBE gives the simulated X-ray powder pattern in this record (Cu Kα, 1.54184 Å).
Peak positions follow from Bragg's law for the DFT cell and can differ from measured ones.

Main lines, sorted by position (10 to 90 degrees two-theta):
2θ/deg  d_spacing  Rel. int.
11.3  7.819  80.9
25.1  3.544  40.4
28.3  3.149  51.6
28.5  3.136  100.0
36.0  2.495  14.0
36.1  2.487  28.9
39.1  2.302  42.5
42.0  2.149  40.2
42.2  2.142  19.7
49.3  1.850  29.0
51.6  1.771  19.5
56.6  1.626  14.2

Atomic structure:
Unit cell a=8.597 b=8.597 c=9.254 alpha=117.63 beta=117.63 gamma=59.78
Element x y z (fractional)
1 Ac 0.225 0.747 0.696
2 Ac 0.229 0.229 0.699
3 Ac 0.253 0.775 0.304
4 Ac 0.265 0.265 0.294
5 Ac 0.735 0.735 0.706
6 Ac 0.747 0.225 0.696
7 Ac 0.771 0.771 0.301
8 Ac 0.775 0.253 0.304
9 Ir 0.000 0.500 0.500
10 Ir 0.500 0.000 0.500
11 Ir 0.500 0.500 0.500
12 N 0.000 0.000 0.500
13 Cl 0.000 0.000 0.000
14 Cl 0.000 0.500 0.000
15 Cl 0.500 0.000 0.000

For PmReAg, a cell relaxed with GGA-PBE gives the simulated X-ray powder pattern in this record (Cu Kα, 1.54184 Å).
Peak positions follow from Bragg's law for the DFT cell and can differ from measured ones.

Main lines, sorted by position (10 to 90 degrees two-theta):
2θ/deg  d_spacing  Rel. int.
18.0  4.940  12.3
34.7  2.587  100.0
36.1  2.487  92.7
36.4  2.470  14.7
37.5  2.398  46.9
38.1  2.361  15.8
42.3  2.135  13.9
43.3  2.090  35.5
58.6  1.575  25.4
62.7  1.482  11.6
65.0  1.435  21.0
67.7  1.384  11.7

Atomic structure:
Unit cell a=3.115 b=4.180 c=9.946 alpha=90.00 beta=96.63 gamma=90.00
Element x y z (fractional)
1 Pm 0.156 0.250 0.239
2 Pm 0.844 0.750 0.761
3 Re 0.332 0.250 0.956
4 Re 0.668 0.750 0.044
5 Ag 0.275 0.250 0.567
6 Ag 0.725 0.750 0.433

For K13Rb3, a cell relaxed with GGA-PBE gives the simulated X-ray powder pattern in this record (Cu Kα, 1.54184 Å).
Peak positions follow from Bragg's law for the DFT cell and can differ from measured ones.

Main lines, sorted by position (10 to 90 degrees two-theta):
2θ/deg  d_spacing  Rel. int.
11.8  7.517  3.4
18.7  4.754  5.3
23.7  3.759  100.0
33.7  2.658  19.0
41.6  2.170  40.0
48.4  1.879  12.3
54.6  1.681  16.6
60.3  1.534  4.0
65.7  1.421  18.0
76.0  1.253  8.5
80.9  1.189  4.8
85.7  1.133  4.1

Atomic structure:
Unit cell a=10.626 b=10.633 c=10.633 alpha=89.98 beta=90.00 gamma=90.00
Element x y z (fractional)
1 K 0.000 0.000 0.000
2 K 0.000 0.000 0.488
3 K 0.000 0.488 0.000
4 K 0.000 0.488 0.488
5 K 0.247 0.240 0.240
6 K 0.247 0.241 0.747
7 K 0.247 0.747 0.241
8 K 0.500 0.000 0.000
9 K 0.500 0.487 0.998
10 K 0.500 0.998 0.487
11 K 0.753 0.240 0.240
12 K 0.753 0.241 0.747
13 K 0.753 0.747 0.241
14 Rb 0.248 0.747 0.747
15 Rb 0.500 0.487 0.487
16 Rb 0.752 0.747 0.747

For TmPa5C6, a cell relaxed with GGA-PBE gives the simulated X-ray powder pattern in this record (Cu Kα, 1.54184 Å).
Peak positions follow from Bragg's law for the DFT cell and can differ from measured ones.

Main lines, sorted by position (10 to 90 degrees two-theta):
2θ/deg  d_spacing  Rel. int.
30.5  2.935  100.0
35.3  2.541  62.6
50.8  1.797  44.8
60.4  1.533  3.9
60.4  1.532  42.5
63.4  1.467  15.5
74.7  1.271  7.2
82.8  1.166  14.8
82.8  1.165  4.9
85.4  1.137  21.0

Atomic structure:
Unit cell a=6.224 b=6.224 c=6.229 alpha=99.60 beta=99.60 gamma=120.04
Element x y z (fractional)
1 Tm 0.000 0.000 0.000
2 Pa 0.166 0.834 0.500
3 Pa 0.333 0.667 0.000
4 Pa 0.500 0.500 0.500
5 Pa 0.667 0.333 0.000
6 Pa 0.834 0.166 0.500
7 C 0.085 0.428 0.256
8 C 0.260 0.260 0.748
9 C 0.428 0.085 0.256
10 C 0.572 0.915 0.744
11 C 0.740 0.740 0.252
12 C 0.915 0.572 0.744